No. 1
Theoretical X-ray powder pattern of K2CuP for CuKα, from DFT lattice parameters and positions (PBE).

Most intense lines, 2θ from 5° to 70°, by intensity:
29.6 deg, d 3.018, I 100, hkl 3 1 0; 33.5 deg, d 2.676, I 84, hkl 3 1 1; 14.9 deg, d 5.945, I 75, hkl 1 1 0; 34.5 deg, d 2.601, I 71, hkl 1 1 2; 28.5 deg, d 3.127, I 55, hkl 0 2 1; 56.3 deg, d 1.635, I 44, hkl 3 3 2; 39.5 deg, d 2.283, I 41, hkl 0 2 2; 17.9 deg, d 4.954, I 37, hkl 2 0 0; 43.7 deg, d 2.073, I 34, hkl 2 2 2; 37.4 deg, d 2.403, I 31, hkl 1 3 0

Crystal structure
Lattice parameters (Å, degrees): 9.9084 7.4319 5.7855 90.00 90.00 90.00
Space group Cmcm (No. 63)
Unique sites:
1 K 0.1693 0.1446 0.2500 x8
2 Cu 0.0000 0.5000 0.0000 x4
3 P 0.0000 0.2679 0.7500 x4

=====

No. 2
Theoretical X-ray powder pattern of Ta3Co5B2 for CuKα, from DFT lattice parameters and positions (PBE).

Most intense lines, 2θ from 5° to 70°, by intensity:
44.0 deg, d 2.056, I 100, hkl 3 1 1; 36.6 deg, d 2.457, I 82, hkl 2 1 1; 44.5 deg, d 2.037, I 48, hkl 4 1 0; 41.2 deg, d 2.191, I 43, hkl 2 2 1; 23.7 deg, d 3.756, I 34, hkl 2 1 0; 48.5 deg, d 1.878, I 26, hkl 4 2 0; 33.8 deg, d 2.656, I 26, hkl 3 1 0; 56.7 deg, d 1.624, I 23, hkl 0 0 2; 30.1 deg, d 2.969, I 15, hkl 2 2 0; 64.7 deg, d 1.440, I 14, hkl 5 3 0

Crystal structure
Lattice parameters (Å, degrees): 8.3978 8.3978 3.2481 90.00 90.00 90.00
Space group P4/mbm (No. 127)
Unique sites:
1 Ta 0.0000 0.0000 0.0000 x2
2 Ta 0.1751 0.3249 0.0000 x4
3 Co 0.0000 0.5000 0.5000 x2
4 Co 0.0696 0.7796 0.5000 x8
5 B 0.1181 0.6181 0.0000 x4